Starting from DFT lattice parameters and positions (GGA-PBE), the powder diffractogram of La2PmSmP4 was calculated for Cu Kα (weighted mean of Kα1 and Kα2).
No peak broadening, texture or thermal motion is included.

Cell and atoms:
```
data_La2PmSmP4
_chemical_formula_sum 'La2 Pm1 Sm1 P4'
_cell_length_a 7.2674
_cell_length_b 4.1992
_cell_length_c 7.2713
_cell_angle_alpha 90.00
_cell_angle_beta 109.44
_cell_angle_gamma 90.00
_symmetry_space_group_name_H-M 'P 1 2/m 1'
_symmetry_Int_Tables_number 10
loop_
_symmetry_equiv_pos_as_xyz
'x,y,z'
'-x,-y,-z'
'-x,y,-z'
'x,-y,z'
loop_
_atom_site_label
_atom_site_fract_x
_atom_site_fract_y
_atom_site_fract_z
_atom_site_occupancy
La1 0.0000 0.0000 0.0000 1
La2 0.5000 0.5000 0.0000 1
Pm1 0.0000 0.5000 0.5000 1
Sm1 0.5000 0.0000 0.5000 1
P1 0.2483 0.0000 0.7432 1
P2 0.2531 0.5000 0.2574 1
```

Peak list (9 most intense, 10° ≤ 2θ ≤ 80°, sorted by position)
d = 3.428 Å, intensity 78, hkl 0 0 2
d = 2.968 Å, intensity 100, hkl 1 1 1
d = 2.099 Å, intensity 74, hkl 0 2 0
d = 1.790 Å, intensity 39, hkl 1 1 3
d = 1.714 Å, intensity 26, hkl 4 0 0
d = 1.484 Å, intensity 12, hkl 2 2 2
d = 1.362 Å, intensity 16, hkl 2 0 4
d = 1.328 Å, intensity 33, hkl 4 2 0
d = 1.212 Å, intensity 25, hkl 6 0 -2

Starting from DFT lattice parameters and positions (GGA-PBE), the powder diffractogram of BaAcS14 was calculated for Cu Kα (weighted mean of Kα1 and Kα2).
No peak broadening, texture or thermal motion is included.

Cell and atoms:
```
data_BaAcS14
_chemical_formula_sum 'Ba4 Ac4 S56'
_cell_length_a 21.3920
_cell_length_b 8.8679
_cell_length_c 10.9768
_cell_angle_alpha 90.00
_cell_angle_beta 110.76
_cell_angle_gamma 90.00
_symmetry_space_group_name_H-M 'C 1 2/c 1'
_symmetry_Int_Tables_number 15
loop_
_symmetry_equiv_pos_as_xyz
'x,y,z'
'-x,-y,-z'
'-x,y,-z+1/2'
'x,-y,z+1/2'
'x+1/2,y+1/2,z'
'-x+1/2,-y+1/2,-z'
'-x+1/2,y+1/2,-z+1/2'
'x+1/2,-y+1/2,z+1/2'
loop_
_atom_site_label
_atom_site_fract_x
_atom_site_fract_y
_atom_site_fract_z
_atom_site_occupancy
Ba1 0.0000 0.0494 0.2500 1
Ac1 0.0000 0.5000 0.0000 1
S1 0.0740 0.4143 0.8006 1
S2 0.0965 0.2560 0.1543 1
S3 0.0982 0.2600 0.4773 1
S4 0.1024 0.1035 0.0204 1
S5 0.1047 0.1051 0.6181 1
S6 0.1790 0.4475 0.8457 1
S7 0.2304 0.2558 0.8917 1
```

Peak list (10 most intense, 10° ≤ 2θ ≤ 80°, sorted by position)
d = 4.366 Å, intensity 69, hkl 3 1 -2
d = 4.078 Å, intensity 100, hkl 1 1 2
d = 4.053 Å, intensity 77, hkl 2 2 0
d = 3.566 Å, intensity 91, hkl 5 1 -2
d = 3.318 Å, intensity 44, hkl 4 2 0
d = 3.263 Å, intensity 81, hkl 3 1 2
d = 2.828 Å, intensity 68, hkl 7 1 -2
d = 2.665 Å, intensity 52, hkl 6 2 0
d = 2.601 Å, intensity 53, hkl 5 1 2
d = 2.288 Å, intensity 34, hkl 9 1 -2

Starting from DFT lattice parameters and positions (GGA-PBE), the powder diffractogram of Ac5LaPr5 was calculated for Cu Kα (weighted mean of Kα1 and Kα2).
No peak broadening, texture or thermal motion is included.

Cell and atoms:
```
data_Ac5LaPr5
_chemical_formula_sum 'Ac5 La1 Pr5'
_cell_length_a 6.6636
_cell_length_b 6.6636
_cell_length_c 12.3078
_cell_angle_alpha 90.00
_cell_angle_beta 90.00
_cell_angle_gamma 120.00
_symmetry_space_group_name_H-M 'P -6 m 2'
_symmetry_Int_Tables_number 187
_symmetry_space_group_name_Hall 'P -6 2'
loop_
_atom_site_label
_atom_site_fract_x
_atom_site_fract_y
_atom_site_fract_z
_atom_site_occupancy
Ac1 0.0000 0.0000 0.2430 1
Ac2 0.3378 0.1689 0.0000 1
La1 0.3333 0.6667 0.5000 1
Pr1 0.0000 0.0000 0.5000 1
Pr2 0.3333 0.6667 0.1654 1
Pr3 0.6667 0.3333 0.3418 1
```

Peak list (10 most intense, 10° ≤ 2θ ≤ 80°, sorted by position)
d = 5.771 Å, intensity 16, hkl 1 0 0
d = 3.338 Å, intensity 100, hkl 1 1 0
d = 3.216 Å, intensity 18, hkl 1 1 1
d = 2.930 Å, intensity 23, hkl 1 1 2
d = 2.809 Å, intensity 34, hkl 2 0 1
d = 2.715 Å, intensity 29, hkl 1 0 4
d = 2.612 Å, intensity 33, hkl 2 0 2
d = 1.925 Å, intensity 32, hkl 3 0 0
d = 1.779 Å, intensity 18, hkl 2 1 4
d = 1.666 Å, intensity 21, hkl 2 2 0

Starting from DFT lattice parameters and positions (GGA-PBE), the powder diffractogram of Sc2AlPd3 was calculated for Cu Kα (weighted mean of Kα1 and Kα2).
No peak broadening, texture or thermal motion is included.

Cell and atoms:
```
data_Sc2AlPd3
_chemical_formula_sum 'Sc4 Al2 Pd6'
_cell_length_a 4.5732
_cell_length_b 4.5732
_cell_length_c 11.2097
_cell_angle_alpha 90.00
_cell_angle_beta 90.00
_cell_angle_gamma 120.00
_symmetry_space_group_name_H-M 'P -3 m 1'
_symmetry_Int_Tables_number 164
_symmetry_space_group_name_Hall '-P 3 2"'
loop_
_atom_site_label
_atom_site_fract_x
_atom_site_fract_y
_atom_site_fract_z
_atom_site_occupancy
Sc1 0.0000 0.0000 0.0000 1
Sc2 0.0000 0.0000 0.5000 1
Sc3 0.3333 0.6667 0.1762 1
Al1 0.3333 0.6667 0.6650 1
Pd1 0.0000 0.0000 0.2562 1
Pd2 0.3333 0.6667 0.4225 1
Pd3 0.3333 0.6667 0.9112 1
```

Peak list (9 most intense, 10° ≤ 2θ ≤ 80°, sorted by position)
d = 3.234 Å, intensity 29, hkl 0 1 2
d = 2.718 Å, intensity 1, hkl 1 0 3
d = 2.287 Å, intensity 100, hkl 1 1 0
d = 1.951 Å, intensity 1, hkl 1 0 5
d = 1.867 Å, intensity 8, hkl 2 0 2
d = 1.617 Å, intensity 16, hkl 0 2 4
d = 1.485 Å, intensity 1, hkl 0 1 7
d = 1.446 Å, intensity 11, hkl 1 2 2
d = 1.320 Å, intensity 32, hkl 3 0 0

Starting from DFT lattice parameters and positions (GGA-PBE), the powder diffractogram of LiAc2FeH6 was calculated for Cu Kα (weighted mean of Kα1 and Kα2).
No peak broadening, texture or thermal motion is included.

Cell and atoms:
```
data_LiAc2FeH6
_chemical_formula_sum 'Li2 Ac4 Fe2 H12'
_cell_length_a 5.4483
_cell_length_b 5.4706
_cell_length_c 7.7513
_cell_angle_alpha 90.00
_cell_angle_beta 90.00
_cell_angle_gamma 90.00
_symmetry_space_group_name_H-M 'I m m m'
_symmetry_Int_Tables_number 71
_symmetry_space_group_name_Hall '-I 2 2'
loop_
_atom_site_label
_atom_site_fract_x
_atom_site_fract_y
_atom_site_fract_z
_atom_site_occupancy
Li1 0.0000 0.0000 0.0000 1
Ac1 0.0000 0.5000 0.2499 1
Fe1 0.0000 0.0000 0.5000 1
H1 0.0000 0.0000 0.2742 1
H2 0.2273 0.2269 0.5000 1
```

Peak list (10 most intense, 10° ≤ 2θ ≤ 80°, sorted by position)
d = 3.866 Å, intensity 78, hkl 1 1 0
d = 2.735 Å, intensity 100, hkl 1 1 2
d = 2.724 Å, intensity 20, hkl 2 0 0
d = 2.235 Å, intensity 13, hkl 0 2 2
d = 2.229 Å, intensity 13, hkl 2 0 2
d = 1.930 Å, intensity 15, hkl 2 2 0
d = 1.731 Å, intensity 18, hkl 1 3 0
d = 1.580 Å, intensity 31, hkl 2 0 4
d = 1.575 Å, intensity 16, hkl 3 1 2
d = 1.368 Å, intensity 12, hkl 2 2 4

Starting from DFT lattice parameters and positions (GGA-PBE), the powder diffractogram of Ag4Au2Cl9 was calculated for Cu Kα (weighted mean of Kα1 and Kα2).
No peak broadening, texture or thermal motion is included.

Cell and atoms:
```
data_Ag4Au2Cl9
_chemical_formula_sum 'Ag8 Au4 Cl18'
_cell_length_a 6.5709
_cell_length_b 7.1663
_cell_length_c 19.2820
_cell_angle_alpha 87.83
_cell_angle_beta 82.54
_cell_angle_gamma 65.53
_symmetry_space_group_name_H-M 'P -1'
_symmetry_Int_Tables_number 2
loop_
_symmetry_equiv_pos_as_xyz
'x,y,z'
'-x,-y,-z'
loop_
_atom_site_label
_atom_site_fract_x
_atom_site_fract_y
_atom_site_fract_z
_atom_site_occupancy
Ag1 0.0895 0.4380 0.2702 1
Ag2 0.1851 0.0354 0.7637 1
Ag3 0.2051 0.6389 0.0015 1
Ag4 0.2448 0.1175 0.5068 1
Au1 0.4781 0.0505 0.0707 1
Au2 0.4991 0.5443 0.3902 1
Cl1 0.0936 0.2750 0.0802 1
Cl2 0.1371 0.1297 0.9166 1
Cl3 0.1919 0.7353 0.2564 1
Cl4 0.2063 0.6971 0.6913 1
Cl5 0.2125 0.7808 0.4742 1
Cl6 0.3062 0.3229 0.3989 1
Cl7 0.3106 0.2350 0.6221 1
Cl8 0.4348 0.1308 0.1993 1
Cl9 0.4821 0.5887 0.0857 1
```

Peak list (10 most intense, 10° ≤ 2θ ≤ 80°, sorted by position)
d = 5.337 Å, intensity 100, hkl 1 1 -1
d = 4.598 Å, intensity 53, hkl 0 1 -3
d = 3.973 Å, intensity 47, hkl 1 0 4
d = 3.569 Å, intensity 84, hkl -1 1 1
d = 3.542 Å, intensity 74, hkl 1 2 0
d = 3.513 Å, intensity 52, hkl 1 0 -4
d = 3.346 Å, intensity 66, hkl 1 1 5
d = 3.277 Å, intensity 75, hkl 2 1 1
d = 3.261 Å, intensity 77, hkl 1 2 -2
d = 2.371 Å, intensity 57, hkl 2 -1 1

Starting from DFT lattice parameters and positions (GGA-PBE), the powder diffractogram of LiSc4H10 was calculated for Cu Kα (weighted mean of Kα1 and Kα2).
No peak broadening, texture or thermal motion is included.

Cell and atoms:
```
data_LiSc4H10
_chemical_formula_sum 'Li3 Sc12 H30'
_cell_length_a 3.3651
_cell_length_b 3.3651
_cell_length_c 41.3407
_cell_angle_alpha 90.00
_cell_angle_beta 90.00
_cell_angle_gamma 120.00
_symmetry_space_group_name_H-M 'R -3 m'
_symmetry_Int_Tables_number 166
_symmetry_space_group_name_Hall '-R 3 2"'
loop_
_atom_site_label
_atom_site_fract_x
_atom_site_fract_y
_atom_site_fract_z
_atom_site_occupancy
Li1 0.0000 0.0000 0.0000 1
Sc1 0.0000 0.0000 0.2003 1
Sc2 0.0000 0.0000 0.3998 1
H1 0.0000 0.0000 0.0523 1
H2 0.0000 0.0000 0.1502 1
H3 0.0000 0.0000 0.2500 1
H4 0.0000 0.0000 0.3532 1
H5 0.0000 0.0000 0.4506 1
```

Peak list (10 most intense, 10° ≤ 2θ ≤ 80°, sorted by position)
d = 6.890 Å, intensity 13, hkl 0 0 6
d = 4.593 Å, intensity 5, hkl 0 0 9
d = 2.907 Å, intensity 4, hkl 1 0 1
d = 2.750 Å, intensity 100, hkl 0 1 5
d = 2.382 Å, intensity 42, hkl 1 0 10
d = 1.686 Å, intensity 17, hkl 0 1 20
d = 1.683 Å, intensity 17, hkl 1 1 0
d = 1.438 Å, intensity 9, hkl 1 0 25
d = 1.436 Å, intensity 25, hkl 2 0 5
d = 1.374 Å, intensity 7, hkl 0 2 10

Starting from DFT lattice parameters and positions (GGA-PBE), the powder diffractogram of LiPr2Te4 was calculated for Cu Kα (weighted mean of Kα1 and Kα2).
No peak broadening, texture or thermal motion is included.

Cell and atoms:
```
data_LiPr2Te4
_chemical_formula_sum 'Li2 Pr4 Te8'
_cell_length_a 7.8051
_cell_length_b 6.2928
_cell_length_c 9.0559
_cell_angle_alpha 90.00
_cell_angle_beta 106.87
_cell_angle_gamma 90.00
_symmetry_space_group_name_H-M 'P 1 21/m 1'
_symmetry_Int_Tables_number 11
loop_
_symmetry_equiv_pos_as_xyz
'x,y,z'
'-x,-y,-z'
'-x,y+1/2,-z'
'x,-y+1/2,z'
loop_
_atom_site_label
_atom_site_fract_x
_atom_site_fract_y
_atom_site_fract_z
_atom_site_occupancy
Li1 0.2222 0.2500 0.1801 1
Pr1 0.2375 0.7500 0.9328 1
Pr2 0.2405 0.7500 0.4366 1
Te1 0.0663 0.2500 0.8837 1
Te2 0.0707 0.2500 0.4010 1
Te3 0.4863 0.0057 0.7476 1
```

Peak list (10 most intense, 10° ≤ 2θ ≤ 80°, sorted by position)
d = 4.812 Å, intensity 19, hkl 1 1 0
d = 3.350 Å, intensity 100, hkl 1 0 2
d = 2.957 Å, intensity 56, hkl 2 1 -2
d = 2.900 Å, intensity 44, hkl 1 2 0
d = 2.546 Å, intensity 62, hkl 0 2 2
d = 2.317 Å, intensity 50, hkl 3 1 0
d = 2.264 Å, intensity 28, hkl 1 0 -4
d = 1.784 Å, intensity 21, hkl 0 2 4
d = 1.619 Å, intensity 17, hkl 4 1 -4
d = 1.424 Å, intensity 16, hkl 1 4 2